# 1
Starting from a structure optimized by DFT (GGA-PBE), the powder X-ray diffraction pattern of TbMg2Au8 was computed for Cu Kα (λ = 1.5418 Å).
Kinematic intensities with the Lorentz-polarization factor, no thermal factor.

Main lines, in order of rising 2θ (2θ = 10–90°):
2θ (°), Rel. int., index
36.9, 100, 1 1 2
42.1, 18, 4 0 -3
42.9, 17, 0 2 0
43.5, 15, 6 0 1
61.7, 13, 4 2 -3
62.8, 10, 6 2 1
73.5, 7, 3 1 -5
73.6, 7, 9 1 -4
74.7, 13, 1 3 2
78.4, 6, 2 2 4

Crystal structure
Cell lengths 15.115, 4.214, 6.768 Å; angles 90.00, 106.53, 90.00 degrees
Space group C2/m (No. 12)
One atom of each set of equivalent atoms:
Tb: 0.000 0.000 0.000 [2 per cell]
Mg: 0.223 0.500 0.656 [4 per cell]
Au: 0.043 0.500 0.721 [4 per cell]
Au: 0.105 0.000 0.461 [4 per cell]
Au: 0.144 0.500 0.203 [4 per cell]
Au: 0.182 0.000 0.909 [4 per cell]

# 2
Starting from a structure optimized by DFT (GGA-PBE), the powder X-ray diffraction pattern of Al2Cu3Si was computed for Cu Kα (λ = 1.5418 Å).
Kinematic intensities with the Lorentz-polarization factor, no thermal factor.

Main lines, in order of rising 2θ (2θ = 10–90°):
2θ (°), Rel. int., index
25.0, 15, 1 1 0
28.7, 12, 0 2 1
41.6, 100, 1 3 1
46.8, 17, 0 6 0
48.6, 15, 2 0 0
49.6, 15, 0 0 2
69.8, 12, 2 6 0
83.3, 12, 1 9 1
86.0, 11, 3 3 1
87.4, 10, 1 3 3

Crystal structure
Cell lengths 3.744, 11.637, 3.678 Å; angles 90.00, 90.00, 90.00 degrees
Space group Cmmm (No. 65)
One atom of each set of equivalent atoms:
Al: 0.000 0.163 0.000 [4 per cell]
Cu: 0.000 0.332 0.500 [4 per cell]
Cu: 0.000 0.500 0.000 [2 per cell]
Si: 0.000 0.000 0.500 [2 per cell]

# 3
Starting from a structure optimized by DFT (GGA-PBE), the powder X-ray diffraction pattern of PmDySc3 was computed for Cu Kα (λ = 1.5418 Å).
Kinematic intensities with the Lorentz-polarization factor, no thermal factor.

Main lines, in order of rising 2θ (2θ = 10–90°):
2θ (°), Rel. int., index
11.8, 44, 0 0 1
25.0, 61, 0 2 0
27.8, 52, 0 2 1
28.4, 70, 3 1 -1
30.1, 78, 1 1 2
32.9, 100, 3 1 -2
34.4, 71, 2 2 1
34.5, 47, 4 0 0
36.0, 29, 0 0 3
37.1, 42, 1 1 -3

Crystal structure
Cell lengths 10.756, 7.111, 7.742 Å; angles 90.00, 104.78, 90.00 degrees
Space group C2/m (No. 12)
One atom of each set of equivalent atoms:
Pm: 0.106 0.000 0.220 [4 per cell]
Dy: 0.157 0.500 0.001 [4 per cell]
Sc: 0.096 0.500 0.373 [4 per cell]
Sc: 0.141 0.211 0.653 [8 per cell]

# 4
Starting from a structure optimized by DFT (GGA-PBE), the powder X-ray diffraction pattern of Nd2Sm6Dy3 was computed for Cu Kα (λ = 1.5418 Å).
Kinematic intensities with the Lorentz-polarization factor, no thermal factor.

Main lines, in order of rising 2θ (2θ = 10–90°):
2θ (°), Rel. int., index
30.3, 100, 0 1 2
35.1, 34, 2 0 1
35.2, 17, 1 -3 0
50.5, 18, 1 3 1
50.6, 18, 3 -3 1
59.9, 7, 3 2 0
60.0, 22, 4 -1 0
60.2, 14, 2 -5 2
63.0, 12, 0 2 4
82.3, 9, 2 5 0

Crystal structure
Cell lengths 6.266, 8.059, 8.088 Å; angles 107.50, 97.38, 104.81 degrees
Space group P-1 (No. 2)
One atom of each set of equivalent atoms:
Nd: 0.228 0.409 0.047 [2 per cell]
Sm: 0.045 0.683 0.411 [2 per cell]
Sm: 0.137 0.046 0.230 [2 per cell]
Sm: 0.319 0.774 0.863 [2 per cell]
Dy: 0.410 0.136 0.680 [2 per cell]
Dy: 0.500 0.500 0.500 [1 per cell]